The following is a calculated X-ray powder pattern of MgMn6O6F6. It was derived from a crystal structure in the Materials Project, relaxed with GGA+U, using a wavelength of 1.5418 Å.
Intensities are scaled so that the largest is 100.

Crystal structure
```
19
Lattice="3.051 0.000 0.000 0.010 5.300 0.000 0.023 0.287 14.524" Properties=species:S:1:pos:R:3 pbc="T T T"
Mg 0.000 0.000 0.000
Mn 0.037 3.077 14.155
Mn 0.022 1.489 4.945
Mn 0.045 2.310 9.393
Mn 1.540 4.417 2.715
Mn 1.567 5.322 11.651
Mn 1.573 4.540 7.161
O 0.016 5.301 3.546
O 0.013 3.934 1.480
O 1.561 4.438 13.604
O 1.557 0.711 5.882
O 1.570 1.481 10.321
O 1.570 3.129 8.461
F 0.024 1.380 12.868
F 0.024 3.524 6.147
F 0.042 4.081 11.012
F 0.055 0.225 8.110
F 1.526 1.262 0.566
F 1.533 2.529 3.931
```

The 8 most intense peaks (10° ≤ 2θ ≤ 90°), in order of rising 2θ:
24.66°, I 100; 25.16°, I 56; 30.11°, I 34; 33.87°, I 22; 34.76°, I 57; 52.56°, I 24; 56.66°, I 20; 60.71°, I 23